Starting from a PBE-relaxed structure, the X-ray diffraction stick pattern of Y5Ho2Tm12 was computed for Cu Kα, 1.54184 Å.
Neutral-atom scattering factors, no anomalous dispersion.

Main lines, most intense first (15° ≤ 2θ ≤ 90°):
2θ/deg	d (Å)	I_rel
31.64	2.828	100
32.06	2.792	64
33.73	2.658	63
32.73	2.736	56
31.31	2.857	50
34.13	2.627	44
36.28	2.476	28
32.89	2.723	24
28.74	3.106	23
27.56	3.236	23

Atomic structure:
```
19
Lattice="5.954 0.000 0.000 0.195 9.618 0.000 1.415 3.765 10.365" Properties=species:S:1:pos:R:3 pbc="T T T"
Y 0.000 0.000 0.000
Y 1.280 10.546 3.560
Y 3.305 4.992 1.747
Y 4.258 8.391 8.618
Y 6.284 2.837 6.805
Ho 2.391 7.041 4.350
Ho 5.173 6.343 6.015
Tm 1.301 9.064 6.803
Tm 0.540 3.192 0.435
Tm 2.065 5.788 7.543
Tm 3.585 11.676 8.162
Tm 2.848 8.270 1.084
Tm 3.280 3.577 5.046
Tm 4.284 9.807 5.320
Tm 4.715 5.113 9.281
Tm 3.979 1.708 2.203
Tm 5.499 7.596 2.822
Tm 7.024 10.191 9.930
Tm 6.263 4.319 3.562
```

=====

Starting from a PBE-relaxed structure, the X-ray diffraction stick pattern of CrRe5 was computed for Cu Kα, 1.54184 Å.
Neutral-atom scattering factors, no anomalous dispersion.

Main lines, most intense first (15° ≤ 2θ ≤ 90°):
2θ/deg	d (Å)	I_rel
41.95	2.154	100
41.13	2.195	28
40.30	2.238	23
75.51	1.259	18
58.94	1.567	15
39.33	2.291	14
74.39	1.275	10
77.74	1.228	9
62.67	1.482	8
78.69	1.216	7

Atomic structure:
```
6
Lattice="2.195 -6.714 0.000 2.195 6.714 0.000 0.000 0.000 2.965" Properties=species:S:1:pos:R:3 pbc="T T T"
Cr 0.000 0.000 0.000
Re 2.195 4.728 1.482
Re 2.195 2.408 0.000
Re 2.195 0.000 1.482
Re 2.195 -2.408 0.000
Re 2.195 -4.728 1.482
```

=====

Starting from a PBE-relaxed structure, the X-ray diffraction stick pattern of TcBr6 was computed for Cu Kα, 1.54184 Å.
Neutral-atom scattering factors, no anomalous dispersion.

Main lines, most intense first (15° ≤ 2θ ≤ 90°):
2θ/deg	d (Å)	I_rel
28.87	3.093	100
15.22	5.823	98
30.17	2.962	72
39.98	2.255	39
15.82	5.602	37
33.40	2.683	29
15.01	5.901	27
26.15	3.408	27
28.37	3.146	24
46.15	1.967	23

Atomic structure:
```
28
Lattice="13.631 0.000 0.000 0.000 11.204 0.000 0.000 0.000 6.941" Properties=species:S:1:pos:R:3 pbc="T T T"
Tc 1.699 2.801 0.922
Tc 5.116 8.403 4.392
Tc 8.515 2.801 2.549
Tc 11.931 8.403 6.020
Br 0.213 6.950 0.125
Br 0.213 9.856 0.125
Br 0.437 2.801 3.030
Br 2.782 2.801 5.633
Br 2.998 0.896 1.606
Br 2.998 4.706 1.606
Br 3.817 6.498 5.077
Br 3.817 10.308 5.077
Br 4.033 8.403 2.163
Br 6.379 8.403 6.501
Br 6.602 1.348 3.595
Br 6.602 4.254 3.595
Br 7.029 6.950 3.346
Br 7.029 9.856 3.346
Br 7.252 2.801 0.441
Br 9.597 2.801 4.779
Br 9.814 0.896 1.864
Br 9.814 4.706 1.864
Br 10.632 6.498 5.335
Br 10.632 10.308 5.335
Br 10.849 8.403 1.308
Br 13.194 8.403 3.912
Br 13.417 1.348 6.817
Br 13.417 4.254 6.817
```

=====

Starting from a PBE-relaxed structure, the X-ray diffraction stick pattern of NaHfCl14 was computed for Cu Kα, 1.54184 Å.
Neutral-atom scattering factors, no anomalous dispersion.

Main lines, most intense first (15° ≤ 2θ ≤ 90°):
2θ/deg	d (Å)	I_rel
15.79	5.614	100
21.89	4.060	73
17.65	5.026	71
15.94	5.558	64
26.81	3.326	61
19.54	4.542	50
22.36	3.976	49
38.16	2.358	48
23.14	3.844	42
32.71	2.737	41

Atomic structure:
```
16
Lattice="7.730 0.000 0.000 3.402 7.800 0.000 1.628 2.096 10.053" Properties=species:S:1:pos:R:3 pbc="T T T"
Na 0.000 0.000 0.000
Hf 3.920 0.207 0.480
Cl 2.528 2.819 7.155
Cl 4.323 6.637 7.308
Cl 2.089 1.943 0.517
Cl 5.592 7.205 8.767
Cl 5.539 6.284 0.972
Cl 3.515 1.119 2.820
Cl 5.715 4.701 3.398
Cl 5.224 1.892 8.207
Cl 5.773 3.605 5.098
Cl 5.654 1.837 0.075
Cl 8.819 8.067 4.838
Cl 8.773 6.149 5.426
Cl 8.955 6.392 1.162
Cl 8.490 3.304 6.259
```

=====

Starting from a PBE-relaxed structure, the X-ray diffraction stick pattern of Zr3Sn4Sb2 was computed for Cu Kα, 1.54184 Å.
Neutral-atom scattering factors, no anomalous dispersion.

Main lines, most intense first (15° ≤ 2θ ≤ 90°):
2θ/deg	d (Å)	I_rel
34.15	2.625	100
34.25	2.618	87
35.00	2.564	66
40.02	2.253	65
39.87	2.261	35
58.52	1.577	33
67.13	1.394	29
32.09	2.789	27
39.80	2.265	23
58.16	1.586	22

Atomic structure:
```
9
Lattice="2.788 -4.831 0.000 2.788 4.831 0.000 -0.051 0.000 7.691" Properties=species:S:1:pos:R:3 pbc="T T T"
Zr 0.000 0.000 0.000
Zr 1.320 2.337 5.098
Zr 4.206 2.337 2.593
Sn 2.788 1.628 0.000
Sn 1.330 -0.886 5.151
Sn 2.788 -1.640 0.000
Sn 4.196 -0.886 2.540
Sb 1.397 0.731 2.558
Sb 4.129 0.731 5.134
```

=====

Starting from a PBE-relaxed structure, the X-ray diffraction stick pattern of VNi2Rh was computed for Cu Kα, 1.54184 Å.
Neutral-atom scattering factors, no anomalous dispersion.

Main lines, most intense first (15° ≤ 2θ ≤ 90°):
2θ/deg	d (Å)	I_rel
45.98	1.974	100
45.48	1.994	57
43.64	2.074	41
40.19	2.244	29
88.40	1.106	19
81.82	1.177	17
72.28	1.307	16
60.82	1.523	16
27.59	3.233	11
39.63	2.274	11

Atomic structure:
```
8
Lattice="4.148 0.000 0.000 0.000 5.159 0.000 0.000 0.000 4.548" Properties=species:S:1:pos:R:3 pbc="T T T"
V 1.037 1.290 0.765
V 3.111 3.870 3.783
Ni 1.037 2.584 2.991
Ni 1.037 5.156 2.991
Ni 3.111 0.004 1.558
Ni 3.111 2.576 1.558
Rh 1.037 3.870 0.744
Rh 3.111 1.290 3.804
```

=====

Starting from a PBE-relaxed structure, the X-ray diffraction stick pattern of KIn3Ag3 was computed for Cu Kα, 1.54184 Å.
Neutral-atom scattering factors, no anomalous dispersion.

Main lines, most intense first (15° ≤ 2θ ≤ 90°):
2θ/deg	d (Å)	I_rel
34.99	2.564	100
35.11	2.556	49
38.00	2.368	35
19.04	4.660	24
66.75	1.401	21
29.10	3.069	20
29.28	3.051	17
19.14	4.637	12
73.39	1.290	11
42.86	2.110	9

Atomic structure:
```
14
Lattice="9.274 0.000 0.000 0.000 4.735 0.000 -4.630 0.000 8.085" Properties=species:S:1:pos:R:3 pbc="T T T"
K 0.007 1.184 2.686
K 4.638 3.552 5.399
In -2.239 1.184 7.823
In -0.904 3.552 5.989
In 3.288 3.552 1.846
In 1.357 1.184 6.239
In 5.548 1.184 2.096
In 6.883 3.552 0.262
Ag -2.299 1.184 4.892
Ag 0.747 3.552 0.408
Ag 1.591 3.552 4.475
Ag 3.054 1.184 3.610
Ag 3.898 1.184 7.676
Ag 6.944 3.552 3.193
```

=====

Starting from a PBE-relaxed structure, the X-ray diffraction stick pattern of Ce5Co3 was computed for Cu Kα, 1.54184 Å.
Neutral-atom scattering factors, no anomalous dispersion.

Main lines, most intense first (15° ≤ 2θ ≤ 90°):
2θ/deg	d (Å)	I_rel
32.84	2.727	100
30.55	2.927	91
35.91	2.501	78
33.34	2.688	64
36.83	2.440	41
34.91	2.570	40
59.29	1.559	36
38.31	2.350	33
40.86	2.209	26
37.77	2.382	25

Atomic structure:
```
32
Lattice="10.812 0.000 0.000 0.000 7.664 0.000 0.000 0.000 8.324" Properties=species:S:1:pos:R:3 pbc="T T T"
Ce 0.122 1.916 0.205
Ce 1.204 0.374 5.583
Ce 1.204 3.458 5.583
Ce 1.872 5.748 3.068
Ce 2.121 1.916 2.438
Ce 3.285 5.748 6.600
Ce 3.534 1.916 7.230
Ce 4.201 4.205 1.421
Ce 4.201 7.290 1.421
Ce 5.284 5.748 4.367
Ce 5.528 1.916 3.957
Ce 6.610 0.374 6.903
Ce 6.610 3.458 6.903
Ce 7.277 5.748 1.095
Ce 7.527 1.916 1.724
Ce 8.690 5.748 5.887
Ce 8.940 1.916 5.257
Ce 9.607 4.205 2.741
Ce 9.607 7.290 2.741
Ce 10.689 5.748 8.120
Co 0.194 5.748 4.925
Co 2.049 4.355 0.448
Co 2.049 7.140 0.448
Co 3.357 0.523 4.610
Co 3.357 3.309 4.610
Co 5.212 1.916 0.763
Co 5.600 5.748 7.562
Co 7.455 4.355 3.714
Co 7.455 7.140 3.714
Co 8.763 0.523 7.877
Co 8.763 3.309 7.877
Co 10.617 1.916 3.400
```

=====

Starting from a PBE-relaxed structure, the X-ray diffraction stick pattern of Rh2O3 was computed for Cu Kα, 1.54184 Å.
Neutral-atom scattering factors, no anomalous dispersion.

Main lines, most intense first (15° ≤ 2θ ≤ 90°):
2θ/deg	d (Å)	I_rel
33.64	2.664	100
34.28	2.616	26
60.98	1.519	24
32.41	2.762	22
47.89	1.899	19
24.17	3.682	14
58.60	1.575	11
48.72	1.869	10
60.92	1.521	9
54.74	1.677	9

Atomic structure:
```
40
Lattice="5.232 0.000 0.000 0.000 5.524 0.000 0.000 0.000 14.952" Properties=species:S:1:pos:R:3 pbc="T T T"
Rh 0.005 0.993 1.130
Rh 0.005 1.373 4.804
Rh 0.005 1.389 12.280
Rh 0.005 1.769 8.606
Rh 2.611 3.755 1.130
Rh 2.611 4.136 4.804
Rh 2.611 4.151 12.280
Rh 2.611 4.532 8.606
Rh 2.621 0.993 6.346
Rh 2.621 1.373 2.672
Rh 2.621 1.389 10.148
Rh 2.621 1.769 13.822
Rh 5.227 3.755 6.346
Rh 5.227 4.136 2.672
Rh 5.227 4.151 10.148
Rh 5.227 4.532 13.822
O 0.745 0.611 3.032
O 0.745 2.151 10.507
O 0.787 3.644 8.256
O 0.787 4.642 0.780
O 1.046 2.952 13.090
O 1.046 5.334 5.615
O 1.570 0.190 13.090
O 1.570 2.572 5.615
O 1.829 0.882 8.256
O 1.829 1.880 0.780
O 1.871 3.373 3.032
O 1.871 4.913 10.507
O 3.361 0.611 4.444
O 3.361 2.151 11.920
O 3.403 3.644 14.171
O 3.403 4.642 6.696
O 3.662 2.952 9.337
O 3.662 5.334 1.861
O 4.186 0.190 9.337
O 4.186 2.572 1.861
O 4.444 0.882 14.171
O 4.444 1.880 6.696
O 4.487 3.373 4.444
O 4.487 4.913 11.920
```

=====

Starting from a PBE-relaxed structure, the X-ray diffraction stick pattern of ThMg6Hg2 was computed for Cu Kα, 1.54184 Å.
Neutral-atom scattering factors, no anomalous dispersion.

Main lines, most intense first (15° ≤ 2θ ≤ 90°):
2θ/deg	d (Å)	I_rel
31.97	2.800	100
29.52	3.026	96
39.02	2.308	81
28.31	3.152	79
40.47	2.229	57
57.48	1.603	54
52.47	1.744	51
32.91	2.722	39
25.92	3.437	36
41.36	2.183	32

Atomic structure:
```
9
Lattice="4.458 0.000 0.000 0.000 4.458 0.000 0.000 0.000 10.792" Properties=species:S:1:pos:R:3 pbc="T T T"
Th 0.000 0.000 0.000
Mg 0.000 0.000 5.396
Mg 0.000 2.229 3.104
Mg 0.000 2.229 7.688
Mg 2.229 0.000 3.104
Mg 2.229 0.000 7.688
Mg 2.229 2.229 5.396
Hg 2.229 2.229 1.399
Hg 2.229 2.229 9.393
```

=====

Starting from a PBE-relaxed structure, the X-ray diffraction stick pattern of Mg6AlTl was computed for Cu Kα, 1.54184 Å.
Neutral-atom scattering factors, no anomalous dispersion.

Main lines, most intense first (15° ≤ 2θ ≤ 90°):
2θ/deg	d (Å)	I_rel
34.91	2.570	100
19.95	4.451	63
22.34	3.980	62
28.35	3.148	54
40.53	2.226	49
30.12	2.967	42
58.66	1.574	33
45.57	1.991	31
70.16	1.341	26
50.20	1.817	24

Atomic structure:
```
8
Lattice="4.448 0.000 0.000 0.000 4.448 0.000 0.000 0.000 8.916" Properties=species:S:1:pos:R:3 pbc="T T T"
Mg 0.000 0.000 0.000
Mg 0.000 0.000 4.458
Mg 0.000 2.224 2.130
Mg 0.000 2.224 6.786
Mg 2.224 0.000 2.130
Mg 2.224 0.000 6.786
Al 2.224 2.224 0.000
Tl 2.224 2.224 4.458
```